Entry 1:
Starting from a GGA-PBE-relaxed structure, the powder diffractogram of RbNaV2 was computed for a wavelength of 1.5418 Å.
Lines closer than 0.1° are merged.

Main lines, sorted by position (2θ = 10–90°):
22.00°, I 17; 24.31°, I 21; 29.15°, I 63; 31.75°, I 100; 38.09°, I 60; 46.77°, I 63; 48.67°, I 28; 64.43°, I 23

Cell and atoms:
```
8
Lattice="-2.0480 2.0480 12.2532 2.0480 -2.0480 12.2532 2.0480 2.0480 -12.2532" Properties=species:S:1:pos:R:3 pbc="T T T"
Rb 0.0000 0.0000 0.0000
Rb 0.0000 2.0480 6.1266
Na 2.0480 0.0000 6.1266
Na 0.0000 0.0000 12.2532
V 1.0240 -0.9661 9.1899
V 1.0819 1.0240 3.0633
V 1.0240 3.0141 -3.0633
V 0.9661 1.0240 15.3165
```

Entry 2:
Starting from a GGA-PBE-relaxed structure, the powder diffractogram of Ga3I3Br was computed for a wavelength of 1.5418 Å.
Lines closer than 0.1° are merged.

Main lines, sorted by position (2θ = 10–90°):
10.43°, I 57; 11.06°, I 47; 20.88°, I 57; 23.20°, I 46; 23.33°, I 82; 26.20°, I 100; 30.56°, I 53; 32.39°, I 68

Cell and atoms:
```
14
Lattice="8.3241 0.0000 0.0000 0.5578 8.8496 0.0000 2.4995 1.7589 8.4846" Properties=species:S:1:pos:R:3 pbc="T T T"
Ga 0.2255 2.4923 0.0217
Ga 3.8652 2.6201 6.7827
Ga 5.0274 9.5354 8.3357
Ga 6.3539 1.0731 0.1489
Ga 7.5161 7.9884 1.7019
Ga 11.1558 8.1162 8.4629
I 1.1299 4.2484 1.8193
I 1.8406 8.9172 2.2785
I 4.8041 3.2440 4.5146
I 6.5772 7.3645 3.9700
I 9.5407 1.6912 6.2061
I 10.2514 6.3601 6.6653
Br 6.7597 3.8867 8.3804
Br 4.6216 6.7218 0.1042
```

Entry 3:
Starting from a GGA-PBE-relaxed structure, the powder diffractogram of SmDy2ScIn4 was computed for a wavelength of 1.5418 Å.
Lines closer than 0.1° are merged.

Main lines, sorted by position (2θ = 10–90°):
33.89°, I 100; 34.03°, I 100; 48.79°, I 35; 60.56°, I 18; 60.85°, I 54; 71.64°, I 11; 81.43°, I 15; 81.66°, I 15

Cell and atoms:
```
8
Lattice="2.6345 1.5210 8.6549 -2.6345 1.5210 8.6549 0.0000 -3.0421 8.6549" Properties=species:S:1:pos:R:3 pbc="T T T"
Sm 0.0000 0.0000 0.0000
Dy 0.0000 0.0000 6.4629
Dy 0.0000 0.0000 19.5020
Sc 0.0000 0.0000 12.9824
In 0.0000 0.0000 3.3077
In 0.0000 0.0000 9.8065
In 0.0000 0.0000 16.1584
In 0.0000 0.0000 22.6571
```

Entry 4:
Starting from a GGA-PBE-relaxed structure, the powder diffractogram of Nd3Ga8Cu3 was computed for a wavelength of 1.5418 Å.
Lines closer than 0.1° are merged.

Main lines, sorted by position (2θ = 10–90°):
29.40°, I 15; 33.92°, I 16; 35.09°, I 100; 35.42°, I 19; 36.22°, I 19; 37.94°, I 20; 41.53°, I 32; 42.58°, I 13

Cell and atoms:
```
14
Lattice="-2.1745 4.7386 6.3692 2.1745 -4.7386 6.3692 2.1745 4.7386 -6.3692" Properties=species:S:1:pos:R:3 pbc="T T T"
Nd 0.0000 0.0000 0.0000
Nd 0.0000 0.0000 3.8627
Nd 0.0000 0.0000 8.8756
Ga 2.1745 -1.3037 1.9800
Ga 2.1745 -2.0105 4.7042
Ga 2.1745 1.3037 1.9800
Ga 0.0000 2.7280 1.6650
Ga 2.1745 2.0105 4.7042
Ga 0.0000 3.4348 4.3891
Ga 0.0000 6.7491 1.6650
Ga 0.0000 6.0423 4.3891
Cu 2.1745 2.9330 0.0000
Cu 0.0000 4.7386 0.0000
Cu 0.0000 1.8055 6.3692
```